(1)
This entry pairs a crystal structure of LaIn4Au2 with its simulated powder diffractogram. Radiation: Cu Kα. Structure: the PBE geometry in the Materials Project.
Lines closer than 0.1° are merged.

The 6 most intense peaks (2θ = 10–90°), in order of rising 2θ:
(2 1 2), 31.82°, d 2.813, rel. 100
(5 1 1), 32.44°, d 2.760, rel. 64
(7 0 1), 35.31°, d 2.542, rel. 29
(0 2 0), 37.53°, d 2.397, rel. 57
(6 1 2), 41.98°, d 2.152, rel. 61
(7 2 1), 52.48°, d 1.744, rel. 19

Structural model:
```
data_LaIn4Au2
_cell_length_a 18.922
_cell_length_b 4.793
_cell_length_c 7.468
_cell_angle_alpha 90.00
_cell_angle_beta 90.00
_cell_angle_gamma 90.00
_space_group_name_H-M_alt 'P n m a'
_space_group_IT_number 62
loop_
_space_group_symop_operation_xyz
'x,y,z'
'-x,-y,-z'
'-x+1/2,-y,z+1/2'
'x+1/2,y,-z+1/2'
'x+1/2,-y+1/2,-z+1/2'
'-x+1/2,y+1/2,z+1/2'
'-x,y+1/2,-z'
'x,-y+1/2,z'
loop_
_atom_site_label
_atom_site_type_symbol
_atom_site_fract_x
_atom_site_fract_y
_atom_site_fract_z
_atom_site_occupancy
La1 La 0.141 0.250 0.019 1
In1 In 0.035 0.750 0.849 1
In2 In 0.068 0.250 0.490 1
In3 In 0.184 0.750 0.320 1
In4 In 0.189 0.750 0.729 1
Au1 Au 0.038 0.750 0.240 1
Au2 Au 0.218 0.250 0.528 1
```


(2)
This entry pairs a crystal structure of Li3Sb3P4O16 with its simulated powder diffractogram. Radiation: Cu Kα. Structure: the PBE geometry in the Materials Project.
Lines closer than 0.1° are merged.

The 6 most intense peaks (2θ = 10–90°), in order of rising 2θ:
(1 1 0), 15.63°, d 5.669, rel. 56
(0 0 2), 20.15°, d 4.407, rel. 49
(1 2 0), 20.74°, d 4.282, rel. 94
(0 3 1), 25.70°, d 3.467, rel. 100
(2 0 -1), 26.45°, d 3.370, rel. 78
(1 2 2), 31.49°, d 2.841, rel. 84

Structural model:
```
data_Li3Sb3P4O16
_cell_length_a 6.787
_cell_length_b 11.309
_cell_length_c 9.122
_cell_angle_alpha 90.00
_cell_angle_beta 104.95
_cell_angle_gamma 90.00
_space_group_name_H-M_alt 'P 1 21 1'
_space_group_IT_number 4
loop_
_space_group_symop_operation_xyz
'x,y,z'
'-x,y+1/2,-z'
loop_
_atom_site_label
_atom_site_type_symbol
_atom_site_fract_x
_atom_site_fract_y
_atom_site_fract_z
_atom_site_occupancy
Li1 Li 0.082 0.000 0.152 1
Li2 Li 0.180 0.690 0.420 1
Li3 Li 0.325 0.897 0.584 1
Sb1 Sb 0.082 0.413 0.208 1
Sb2 Sb 0.365 0.619 0.825 1
Sb3 Sb 0.390 0.187 0.762 1
P1 P 0.084 0.716 0.110 1
P2 P 0.135 0.417 0.583 1
P3 P 0.356 0.169 0.386 1
P4 P 0.480 0.897 0.906 1
O1 O 0.016 0.838 0.034 1
O2 O 0.058 0.845 0.465 1
O3 O 0.059 0.175 0.790 1
O4 O 0.098 0.619 0.993 1
O5 O 0.124 0.502 0.719 1
O6 O 0.168 0.249 0.309 1
O7 O 0.176 0.494 0.452 1
O8 O 0.266 0.879 0.797 1
O9 O 0.296 0.734 0.230 1
O10 O 0.317 0.107 0.528 1
O11 O 0.334 0.342 0.648 1
O12 O 0.370 0.071 0.264 1
O13 O 0.391 0.440 0.204 1
O14 O 0.436 0.282 0.010 1
O15 O 0.439 0.735 0.579 1
O16 O 0.474 0.997 0.023 1
```